Record 1
Structure and simulated X-ray diffraction stick pattern of BaMg14Nb (a crystal structure in Alexandria, relaxed with PBE; copper Kα).
Neutral-atom scattering factors, no anomalous dispersion.

Structural model:
Lattice parameters (Å, degrees): 6.5627 6.5627 10.4304 90.00 90.00 120.00
Space group P-6m2 (No. 187)
Inequivalent atoms, fractional coordinates:
Ba1 0.0000 0.0000 0.0000 x1
Mg1 0.0175 0.5087 0.0000 x3
Mg2 0.1664 0.3328 0.2720 x6
Mg3 0.5036 0.0072 0.5000 x3
Mg4 0.6667 0.3333 0.2381 x2
Nb1 0.0000 0.0000 0.5000 x1

Peak list (8 most intense, 2θ from 10° to 90°, in order of rising 2θ)
| 2theta | I_rel | h k l |
| --- | --- | --- |
| 15.6 | 46 | 1 0 0 |
| 23.1 | 37 | 1 0 2 |
| 31.5 | 30 | 2 0 0 |
| 34.4 | 23 | 0 0 4 |
| 36.0 | 100 | 2 0 2 |
| 47.3 | 19 | 2 0 4 |
| 56.1 | 17 | 2 2 0 |
| 67.4 | 18 | 2 2 4 |

Record 2
Structure and simulated X-ray diffraction stick pattern of Ba3Mg2NbO8 (a crystal structure in Alexandria, relaxed with PBE; copper Kα).
Neutral-atom scattering factors, no anomalous dispersion.

Structural model:
Lattice parameters (Å, degrees): 5.8882 5.8882 7.6427 90.00 90.00 120.00
Space group P-3m1 (No. 164)
Inequivalent atoms, fractional coordinates:
Ba1 0.0000 0.0000 0.0000 x1
Ba2 0.3333 0.6667 0.6484 x2
Mg1 0.3333 0.6667 0.2290 x2
Nb1 0.0000 0.0000 0.5000 x1
O1 0.1597 0.3194 0.3419 x6
O2 0.3333 0.6667 0.9790 x2

Peak list (8 most intense, 2θ from 10° to 90°, in order of rising 2θ)
| 2theta | I_rel | h k l |
| --- | --- | --- |
| 11.6 | 21 | 0 0 1 |
| 20.9 | 34 | 1 0 1 |
| 29.2 | 82 | 0 1 2 |
| 30.4 | 100 | 1 1 0 |
| 37.2 | 24 | 0 2 1 |
| 42.6 | 46 | 2 0 2 |
| 53.2 | 31 | 1 2 2 |
| 53.9 | 19 | 3 0 0 |

Record 3
Structure and simulated X-ray diffraction stick pattern of Ba2MgP2O8 (a crystal structure in Alexandria, relaxed with PBE; copper Kα).
Neutral-atom scattering factors, no anomalous dispersion.

Structural model:
Lattice parameters (Å, degrees): 5.3952 8.9579 17.1509 90.00 107.78 90.00
Space group P2_1/c (No. 14)
Inequivalent atoms, fractional coordinates:
Ba1 0.0240 0.1574 0.2714 x4
Ba2 0.1817 0.7037 0.9803 x4
Mg1 0.4069 0.0158 0.1337 x4
P1 0.1864 0.0883 0.9226 x4
P2 0.4177 0.1084 0.6666 x4
O1 0.1005 0.6360 0.6231 x4
O2 0.2296 0.0857 0.0151 x4
O3 0.2374 0.0268 0.5899 x4
O4 0.2366 0.5659 0.3875 x4
O5 0.2948 0.6087 0.8347 x4
O6 0.3147 0.2280 0.1678 x4
O7 0.3784 0.1984 0.9007 x4
O8 0.3982 0.0274 0.7451 x4

Peak list (8 most intense, 2θ from 10° to 90°, in order of rising 2θ)
| 2theta | I_rel | h k l |
| --- | --- | --- |
| 17.3 | 48 | 1 0 0 |
| 25.2 | 65 | 1 1 2 |
| 25.4 | 91 | 1 1 -4 |
| 25.8 | 73 | 0 2 3 |
| 28.0 | 93 | 1 2 1 |
| 28.2 | 100 | 1 2 -3 |
| 33.2 | 60 | 2 0 -2 |
| 45.2 | 52 | 2 2 -6 |

Record 4
Structure and simulated X-ray diffraction stick pattern of BaMgP2O6 (a crystal structure in Alexandria, relaxed with PBE; copper Kα).
Neutral-atom scattering factors, no anomalous dispersion.

Structural model:
Lattice parameters (Å, degrees): 5.2986 5.2986 18.7297 90.00 90.00 120.00
Space group R-3 (No. 148, hexagonal axes)
Inequivalent atoms, fractional coordinates:
Ba1 0.0000 0.0000 0.0000 x3
Mg1 0.0000 0.0000 0.5000 x3
P1 0.0000 0.0000 0.2507 x6
O1 0.0268 0.4127 0.8986 x18

Peak list (8 most intense, 2θ from 10° to 90°, in order of rising 2θ)
| 2theta | I_rel | h k l |
| --- | --- | --- |
| 19.9 | 30 | 1 0 1 |
| 21.6 | 16 | 0 1 2 |
| 27.2 | 100 | 1 0 4 |
| 30.8 | 19 | 0 1 5 |
| 33.8 | 29 | 1 1 0 |
| 36.9 | 28 | 1 1 3 |
| 43.4 | 27 | 0 1 8 |
| 56.6 | 19 | 3 -1 4 |

Record 5
Structure and simulated X-ray diffraction stick pattern of BaPmMgO4 (a crystal structure in Alexandria, relaxed with PBE; copper Kα).
Neutral-atom scattering factors, no anomalous dispersion.

Structural model:
Lattice parameters (Å, degrees): 5.5078 12.8219 5.7487 90.00 90.00 90.00
Space group Cmcm (No. 63)
Inequivalent atoms, fractional coordinates:
Ba1 0.0000 0.1013 0.2500 x4
Pm1 0.0000 0.3801 0.2500 x4
Mg1 0.0000 0.2582 0.7500 x4
O1 0.0000 0.0935 0.7500 x4
O2 0.0000 0.4384 0.7500 x4
O3 0.2500 0.2500 0.0000 x8

Peak list (8 most intense, 2θ from 10° to 90°, in order of rising 2θ)
| 2theta | I_rel | h k l |
| --- | --- | --- |
| 23.4 | 69 | 1 1 1 |
| 27.8 | 26 | 0 4 0 |
| 30.7 | 100 | 1 3 1 |
| 31.1 | 42 | 0 0 2 |
| 32.5 | 38 | 2 0 0 |
| 42.2 | 38 | 0 4 2 |
| 43.3 | 27 | 2 4 0 |
| 45.6 | 42 | 2 0 2 |

Record 6
Structure and simulated X-ray diffraction stick pattern of Ba6Pr2MgRu4O18 (a crystal structure in Alexandria, relaxed with PBE; copper Kα).
Neutral-atom scattering factors, no anomalous dispersion.

Structural model:
Lattice parameters (Å, degrees): 10.4674 6.1232 15.2464 90.00 93.41 90.00
Space group C2/m (No. 12)
Inequivalent atoms, fractional coordinates:
Ba1 0.0208 0.0000 0.2404 x4
Ba2 0.1736 0.5000 0.0886 x4
Ba3 0.2032 0.5000 0.3609 x4
Pr1 0.0000 0.0000 0.0000 x2
Pr2 0.0000 0.0000 0.5000 x2
Mg1 0.0000 0.5000 0.5000 x2
Ru1 0.1518 0.5000 0.8373 x4
Ru2 0.1683 0.5000 0.6718 x4
O1 0.0069 0.5000 0.7415 x4
O2 0.0648 0.2694 0.9029 x8
O3 0.0845 0.2815 0.5853 x8
O4 0.1741 0.0000 0.3961 x4
O5 0.2034 0.0000 0.0735 x4
O6 0.2413 0.2699 0.7630 x8

Peak list (8 most intense, 2θ from 10° to 90°, in order of rising 2θ)
| 2theta | I_rel | h k l |
| --- | --- | --- |
| 28.2 | 42 | 2 0 -4 |
| 29.2 | 64 | 0 2 0 |
| 29.3 | 59 | 1 1 4 |
| 29.5 | 100 | 3 1 0 |
| 29.8 | 24 | 2 0 4 |
| 41.0 | 43 | 2 2 -4 |
| 42.2 | 19 | 2 2 4 |
| 51.9 | 21 | 3 3 0 |

Record 7
Structure and simulated X-ray diffraction stick pattern of Ba6Pr2MgRu4O18 (a crystal structure in Alexandria, relaxed with PBE; copper Kα).
Neutral-atom scattering factors, no anomalous dispersion.

Structural model:
Lattice parameters (Å, degrees): 6.0297 6.0297 15.5093 90.00 90.00 120.00
Space group P-6m2 (No. 187)
Inequivalent atoms, fractional coordinates:
Ba1 0.0000 0.0000 0.0000 x1
Ba2 0.0000 0.0000 0.5000 x1
Ba3 0.3333 0.6667 0.1344 x2
Ba4 0.6667 0.3333 0.2973 x2
Pr1 0.0000 0.0000 0.2479 x2
Mg1 0.6667 0.3333 0.5000 x1
Ru1 0.3333 0.6667 0.4096 x2
Ru2 0.6667 0.3333 0.0805 x2
O1 0.0256 0.5128 0.5000 x3
O2 0.1779 0.3557 0.3406 x6
O3 0.3572 0.1786 0.1574 x6
O4 0.5095 0.0191 0.0000 x3

Peak list (8 most intense, 2θ from 10° to 90°, in order of rising 2θ)
| 2theta | I_rel | h k l |
| --- | --- | --- |
| 28.7 | 64 | 1 0 4 |
| 29.6 | 100 | 1 1 0 |
| 33.6 | 17 | 1 0 5 |
| 41.7 | 41 | 2 0 4 |
| 52.0 | 23 | 2 1 4 |
| 52.6 | 20 | 3 0 0 |
| 61.5 | 18 | 2 2 0 |
| 69.3 | 12 | 3 1 4 |

Record 8
Structure and simulated X-ray diffraction stick pattern of Ba3PuMg2O9 (a crystal structure in Alexandria, relaxed with PBE; copper Kα).
Neutral-atom scattering factors, no anomalous dispersion.

Structural model:
Lattice parameters (Å, degrees): 5.8840 5.8840 7.3754 90.00 90.00 120.00
Space group P-3m1 (No. 164)
Inequivalent atoms, fractional coordinates:
Ba1 0.0000 0.0000 0.0000 x1
Ba2 0.3333 0.6667 0.6964 x2
Pu1 0.0000 0.0000 0.5000 x1
Mg1 0.3333 0.6667 0.1580 x2
O1 0.0000 0.5000 0.0000 x3
O2 0.1616 0.3232 0.3412 x6

Peak list (8 most intense, 2θ from 10° to 90°, in order of rising 2θ)
| 2theta | I_rel | h k l |
| --- | --- | --- |
| 17.4 | 35 | 1 0 0 |
| 21.2 | 34 | 0 1 1 |
| 29.9 | 100 | 0 1 2 |
| 30.4 | 83 | 1 1 0 |
| 43.2 | 58 | 2 0 2 |
| 53.7 | 40 | 1 2 2 |
| 54.0 | 17 | 3 0 0 |
| 71.5 | 22 | 3 1 2 |